(1)
Simulated powder diffractogram of Ce2ThZn6 for copper Kα, from DFT lattice parameters and positions (PBE).

Structural model:
a b c (Å): 7.9837 7.9837 3.4367
angles (deg): 90.00 90.00 120.00
Sites, in units of the cell vectors:
Ce1 0.3333 0.6667 0.0000
Ce2 0.6667 0.3333 0.0000
Th1 0.0000 0.0000 0.0000
Zn1 0.0000 0.3350 0.5000
Zn2 0.0000 0.6650 0.5000
Zn3 0.3350 0.0000 0.5000
Zn4 0.3350 0.3350 0.5000
Zn5 0.6650 0.0000 0.5000
Zn6 0.6650 0.6650 0.5000

Most intense lines, 2θ = 10–90°, in order of rising 2θ:
| Position (°2θ) | I/Imax |
| --- | --- |
| 22.3 | 24 |
| 34.4 | 100 |
| 39.1 | 60 |
| 53.1 | 29 |
| 53.3 | 8 |
| 67.8 | 28 |
| 68.1 | 23 |
| 70.8 | 10 |



(2)
Simulated powder diffractogram of LaSm2 for copper Kα, from DFT lattice parameters and positions (PBE).

Structural model:
a b c (Å): 8.1958 8.1958 8.1958
angles (deg): 154.07 154.07 36.99
Sites, in units of the cell vectors:
La1 0.0000 0.0000 0.0000
Sm1 0.3314 0.3314 0.0000
Sm2 0.6686 0.6686 0.0000

Most intense lines, 2θ = 10–90°, in order of rising 2θ:
| Position (°2θ) | I/Imax |
| --- | --- |
| 29.8 | 100 |
| 34.5 | 34 |
| 34.6 | 17 |
| 49.6 | 36 |
| 58.9 | 29 |
| 59.1 | 14 |
| 61.9 | 12 |
| 80.7 | 12 |



(3)
Simulated powder diffractogram of Rb3HoCl6 for copper Kα, from DFT lattice parameters and positions (PBE).

Structural model:
a b c (Å): 13.5735 13.5735 13.1657
angles (deg): 99.09 99.09 34.64
Sites, in units of the cell vectors:
Rb1 0.0234 0.6472 0.1913
Rb2 0.1657 0.5285 0.8527
Rb3 0.1700 0.7180 0.5550
Rb4 0.2820 0.8300 0.9450
Rb5 0.3528 0.9766 0.3087
Rb6 0.4715 0.8343 0.6473
Rb7 0.5285 0.1657 0.3527
Rb8 0.6472 0.0234 0.6913
Rb9 0.7180 0.1700 0.0550
Rb10 0.8300 0.2820 0.4450
Rb11 0.8343 0.4715 0.1473
Rb12 0.9766 0.3528 0.8087
Ho1 0.0000 0.5000 0.5000
Ho2 0.1987 0.8013 0.2500
Ho3 0.5000 0.0000 0.0000
Ho4 0.8013 0.1987 0.7500
Cl1 0.0182 0.1064 0.2088
Cl2 0.1064 0.0182 0.7088
Cl3 0.1310 0.3696 0.3148
Cl4 0.1515 0.7400 0.0630
Cl5 0.1539 0.2075 0.5339
Cl6 0.2075 0.1539 0.0339
Cl7 0.2600 0.8485 0.4370
Cl8 0.2743 0.3856 0.5740
Cl9 0.3538 0.5224 0.3183
Cl10 0.3696 0.1310 0.8148
Cl11 0.3856 0.2743 0.0740
Cl12 0.4776 0.6462 0.1817
Cl13 0.5224 0.3538 0.8183
Cl14 0.6144 0.7257 0.9260
Cl15 0.6304 0.8690 0.1852
Cl16 0.6462 0.4776 0.6817
Cl17 0.7257 0.6144 0.4260
Cl18 0.7400 0.1515 0.5630
Cl19 0.7925 0.8461 0.9661
Cl20 0.8461 0.7925 0.4661
Cl21 0.8485 0.2600 0.9370
Cl22 0.8690 0.6304 0.6852
Cl23 0.8936 0.9818 0.2912
Cl24 0.9818 0.8936 0.7912

Most intense lines, 2θ = 10–90°, in order of rising 2θ:
| Position (°2θ) | I/Imax |
| --- | --- |
| 13.7 | 37 |
| 15.9 | 24 |
| 22.0 | 24 |
| 22.6 | 62 |
| 23.0 | 100 |
| 30.5 | 21 |
| 32.0 | 65 |
| 33.0 | 25 |



(4)
Simulated powder diffractogram of MgIn2I6 for copper Kα, from DFT lattice parameters and positions (PBE).

Structural model:
a b c (Å): 9.0693 9.0693 9.0693
angles (deg): 49.25 49.25 49.25
Sites, in units of the cell vectors:
Mg1 0.0000 0.0000 0.0000
In1 0.3323 0.3323 0.3323
In2 0.5094 0.5094 0.5094
I1 0.0854 0.3846 0.7356
I2 0.2213 0.9609 0.5963
I3 0.3846 0.7356 0.0854
I4 0.5963 0.2213 0.9609
I5 0.7356 0.0854 0.3846
I6 0.9609 0.5963 0.2213

Most intense lines, 2θ = 10–90°, in order of rising 2θ:
| Position (°2θ) | I/Imax |
| --- | --- |
| 11.1 | 13 |
| 14.0 | 17 |
| 26.1 | 100 |
| 32.7 | 60 |
| 41.4 | 34 |
| 41.6 | 24 |
| 49.6 | 14 |
| 53.7 | 12 |



(5)
Simulated powder diffractogram of CaGa2O4 for copper Kα, from DFT lattice parameters and positions (PBE).

Structural model:
a b c (Å): 3.4922 10.6500 9.3129
angles (deg): 90.00 90.00 90.00
Sites, in units of the cell vectors:
Ca1 0.1532 0.1500 0.2500
Ca2 0.1532 0.3500 0.7500
Ca3 0.8468 0.6500 0.2500
Ca4 0.8468 0.8500 0.7500
Ga1 0.4915 0.6134 0.5723
Ga2 0.4915 0.6134 0.9277
Ga3 0.4915 0.8866 0.0723
Ga4 0.4915 0.8866 0.4277
Ga5 0.5085 0.1134 0.5723
Ga6 0.5085 0.1134 0.9277
Ga7 0.5085 0.3866 0.0723
Ga8 0.5085 0.3866 0.4277
O1 0.2202 0.2500 0.0000
O2 0.2202 0.2500 0.5000
O3 0.3005 0.5490 0.1041
O4 0.3005 0.5490 0.3959
O5 0.3005 0.9510 0.6041
O6 0.3005 0.9510 0.8959
O7 0.3172 0.6758 0.7500
O8 0.3172 0.8242 0.2500
O9 0.6828 0.1758 0.7500
O10 0.6828 0.3242 0.2500
O11 0.6995 0.0490 0.1041
O12 0.6995 0.0490 0.3959
O13 0.6995 0.4510 0.6041
O14 0.6995 0.4510 0.8959
O15 0.7798 0.7500 0.0000
O16 0.7798 0.7500 0.5000

Most intense lines, 2θ = 10–90°, in order of rising 2θ:
| Position (°2θ) | I/Imax |
| --- | --- |
| 25.5 | 67 |
| 32.1 | 100 |
| 33.4 | 75 |
| 33.7 | 37 |
| 42.5 | 40 |
| 42.7 | 25 |
| 47.2 | 27 |
| 58.8 | 24 |



(6)
Simulated powder diffractogram of Rb2Tl16Hg for copper Kα, from DFT lattice parameters and positions (PBE).

Structural model:
a b c (Å): 8.7157 8.7157 8.7157
angles (deg): 81.57 81.57 81.57
Sites, in units of the cell vectors:
Rb1 0.0000 0.0000 0.0000
Rb2 0.3274 0.3274 0.3274
Tl1 0.0067 0.0067 0.5475
Tl2 0.0067 0.5475 0.0067
Tl3 0.1964 0.6441 0.6441
Tl4 0.2986 0.2986 0.8466
Tl5 0.2986 0.8466 0.2986
Tl6 0.3711 0.6663 0.9593
Tl7 0.3711 0.9593 0.6663
Tl8 0.5475 0.0067 0.0067
Tl9 0.6441 0.1964 0.6441
Tl10 0.6441 0.6441 0.1964
Tl11 0.6663 0.3711 0.9593
Tl12 0.6663 0.9593 0.3711
Tl13 0.7551 0.7551 0.7551
Tl14 0.8466 0.2986 0.2986
Tl15 0.9593 0.3711 0.6663
Tl16 0.9593 0.6663 0.3711
Hg1 0.5685 0.5685 0.5685

Most intense lines, 2θ = 10–90°, in order of rising 2θ:
| Position (°2θ) | I/Imax |
| --- | --- |
| 10.3 | 18 |
| 15.6 | 19 |
| 27.1 | 20 |
| 31.3 | 22 |
| 31.4 | 100 |
| 31.8 | 25 |
| 35.1 | 23 |
| 35.2 | 58 |



(7)
Simulated powder diffractogram of YHo2Er4Sc for copper Kα, from DFT lattice parameters and positions (PBE).

Structural model:
a b c (Å): 4.9361 4.9361 9.8553
angles (deg): 90.00 90.00 90.00
Sites, in units of the cell vectors:
Y1 0.0000 0.0000 0.0000
Ho1 0.0000 0.0000 0.5000
Ho2 0.5000 0.5000 0.0000
Er1 0.0000 0.5000 0.2557
Er2 0.0000 0.5000 0.7443
Er3 0.5000 0.0000 0.2557
Er4 0.5000 0.0000 0.7443
Sc1 0.5000 0.5000 0.5000

Most intense lines, 2θ = 10–90°, in order of rising 2θ:
| Position (°2θ) | I/Imax |
| --- | --- |
| 20.1 | 8 |
| 31.4 | 100 |
| 36.4 | 50 |
| 52.5 | 35 |
| 62.4 | 42 |
| 65.5 | 12 |
| 85.9 | 17 |
| 88.6 | 11 |



(8)
Simulated powder diffractogram of TlCuF3 for copper Kα, from DFT lattice parameters and positions (PBE).

Structural model:
a b c (Å): 5.7961 5.7961 7.5091
angles (deg): 100.63 100.63 41.42
Sites, in units of the cell vectors:
Tl1 0.1137 0.1137 0.3699
Tl2 0.8863 0.8863 0.6301
Cu1 0.3660 0.3660 0.0769
Cu2 0.6340 0.6340 0.9231
F1 0.1567 0.1567 0.9449
F2 0.3467 0.3467 0.3225
F3 0.4176 0.4176 0.8452
F4 0.5824 0.5824 0.1548
F5 0.6533 0.6533 0.6775
F6 0.8433 0.8433 0.0551

Most intense lines, 2θ = 10–90°, in order of rising 2θ:
| Position (°2θ) | I/Imax |
| --- | --- |
| 26.6 | 47 |
| 27.0 | 100 |
| 32.2 | 24 |
| 33.7 | 38 |
| 33.8 | 42 |
| 42.3 | 26 |
| 44.2 | 21 |
| 55.7 | 19 |



(9)
Simulated powder diffractogram of Th5Pa3N8 for copper Kα, from DFT lattice parameters and positions (PBE).

Structural model:
a b c (Å): 7.1894 7.1894 7.1894
angles (deg): 60.08 60.08 60.08
Sites, in units of the cell vectors:
Th1 0.0000 0.0000 0.0000
Th2 0.0000 0.5000 0.5000
Th3 0.5000 0.0000 0.5000
Th4 0.5000 0.5000 0.0000
Th5 0.5000 0.5000 0.5000
Pa1 0.0000 0.0000 0.5000
Pa2 0.0000 0.5000 0.0000
Pa3 0.5000 0.0000 0.0000
N1 0.2310 0.7498 0.7498
N2 0.2415 0.2415 0.2415
N3 0.2502 0.2502 0.7690
N4 0.2502 0.7690 0.2502
N5 0.7498 0.2310 0.7498
N6 0.7498 0.7498 0.2310
N7 0.7585 0.7585 0.7585
N8 0.7690 0.2502 0.2502

Most intense lines, 2θ = 10–90°, in order of rising 2θ:
| Position (°2θ) | I/Imax |
| --- | --- |
| 30.4 | 100 |
| 35.3 | 65 |
| 50.8 | 47 |
| 60.3 | 47 |
| 63.3 | 12 |
| 82.7 | 15 |
| 85.3 | 11 |
| 85.4 | 11 |



(10)
Simulated powder diffractogram of Pu3TiSe6 for copper Kα, from DFT lattice parameters and positions (PBE).

Structural model:
a b c (Å): 8.8696 8.8696 6.7824
angles (deg): 90.00 90.00 100.54
Sites, in units of the cell vectors:
Pu1 0.1075 0.8925 0.5000
Pu2 0.2148 0.4201 0.3934
Pu3 0.4201 0.2148 0.8934
Pu4 0.5799 0.7852 0.3934
Pu5 0.7852 0.5799 0.8934
Pu6 0.8925 0.1075 0.0000
Ti1 0.3423 0.6577 0.8721
Ti2 0.6577 0.3423 0.3721
Se1 0.0895 0.5901 0.7174
Se2 0.1316 0.1895 0.6939
Se3 0.1895 0.1316 0.1939
Se4 0.2690 0.7310 0.2097
Se5 0.4099 0.9105 0.7174
Se6 0.4928 0.5072 0.6333
Se7 0.5072 0.4928 0.1333
Se8 0.5901 0.0895 0.2174
Se9 0.7310 0.2690 0.7097
Se10 0.8105 0.8684 0.6939
Se11 0.8684 0.8105 0.1939
Se12 0.9105 0.4099 0.2174

Most intense lines, 2θ = 10–90°, in order of rising 2θ:
| Position (°2θ) | I/Imax |
| --- | --- |
| 16.6 | 36 |
| 24.3 | 100 |
| 24.8 | 46 |
| 30.7 | 28 |
| 33.5 | 53 |
| 36.2 | 53 |
| 37.4 | 48 |
| 40.8 | 42 |



(11)
Simulated powder diffractogram of Tb5Ge10Rh4 for copper Kα, from DFT lattice parameters and positions (PBE).

Structural model:
a b c (Å): 13.0663 13.0663 4.3252
angles (deg): 90.00 90.00 90.00
Sites, in units of the cell vectors:
Tb1 0.0000 0.0000 0.0000
Tb2 0.1129 0.3871 0.5000
Tb3 0.1754 0.6754 0.5000
Tb4 0.3246 0.1754 0.5000
Tb5 0.3871 0.8871 0.5000
Tb6 0.5000 0.5000 0.0000
Tb7 0.6129 0.1129 0.5000
Tb8 0.6754 0.8246 0.5000
Tb9 0.8246 0.3246 0.5000
Tb10 0.8871 0.6129 0.5000
Ge1 0.0012 0.8412 0.5000
Ge2 0.0670 0.5670 0.0000
Ge3 0.1588 0.0012 0.5000
Ge4 0.1615 0.2005 0.0000
Ge5 0.2005 0.8385 0.0000
Ge6 0.2995 0.3385 0.0000
Ge7 0.3385 0.7005 0.0000
Ge8 0.3412 0.5012 0.5000
Ge9 0.4330 0.0670 0.0000
Ge10 0.4988 0.3412 0.5000
Ge11 0.5012 0.6588 0.5000
Ge12 0.5670 0.9330 0.0000
Ge13 0.6588 0.4988 0.5000
Ge14 0.6615 0.2995 0.0000
Ge15 0.7005 0.6615 0.0000
Ge16 0.7995 0.1615 0.0000
Ge17 0.8385 0.7995 0.0000
Ge18 0.8412 0.9988 0.5000
Ge19 0.9330 0.4330 0.0000
Ge20 0.9988 0.1588 0.5000
Rh1 0.0217 0.7545 0.0000
Rh2 0.2455 0.0217 0.0000
Rh3 0.2545 0.5217 0.0000
Rh4 0.4783 0.2545 0.0000
Rh5 0.5217 0.7455 0.0000
Rh6 0.7455 0.4783 0.0000
Rh7 0.7545 0.9783 0.0000
Rh8 0.9783 0.2455 0.0000

Most intense lines, 2θ = 10–90°, in order of rising 2θ:
| Position (°2θ) | I/Imax |
| --- | --- |
| 32.2 | 48 |
| 34.4 | 71 |
| 35.1 | 81 |
| 35.8 | 100 |
| 37.1 | 23 |
| 41.8 | 57 |
| 42.1 | 22 |
| 44.4 | 26 |



Which formula does entry 6 have? Rb2Tl16Hg